# Si5Mo
Theoretical XRD peak list, a wavelength of 1.5418 Å. Input: the PBE geometry in Alexandria.

Structural model:
Unit cell a=4.6465 b=4.6465 c=4.4947 alpha=90.00 beta=90.00 gamma=120.00
Space group P-62m (No. 189)
Asymmetric unit:
Si 0.0000 0.6780 0.0000 [3 per cell]
Si 0.3333 0.6667 0.5000 [2 per cell]
Mo 0.0000 0.0000 0.5000 [1 per cell]

Most intense lines, 10 to 90 degrees two-theta, low angle first:
2θ 19.75, d 4.495, intensity 14
2θ 22.09, d 4.024, intensity 37
2θ 29.80, d 2.998, intensity 29
2θ 38.76, d 2.323, intensity 29
2θ 40.12, d 2.247, intensity 28
2θ 43.87, d 2.064, intensity 100
2θ 46.27, d 1.962, intensity 10
2θ 57.01, d 1.615, intensity 18
2θ 70.16, d 1.341, intensity 16
2θ 75.50, d 1.259, intensity 24
2θ 84.03, d 1.152, intensity 20
2θ 86.56, d 1.124, intensity 17